# HoTl5S4
Theoretical X-ray powder pattern, Cu Kα, 1.54184 Å. Input: DFT lattice parameters and positions (PBE).

Structural model:
Unit cell a=9.4422 b=9.4422 c=8.5140 alpha=107.31 beta=107.31 gamma=24.89
Element x y z (fractional)
Ho 0.0000 0.0000 0.0000
Tl 0.0000 0.0000 0.5000
Tl 0.3172 0.3172 0.6936
Tl 0.3425 0.3425 0.1924
Tl 0.6575 0.6575 0.8076
Tl 0.6828 0.6828 0.3064
S 0.1549 0.1549 0.0449
S 0.4802 0.4802 0.7716
S 0.5198 0.5198 0.2284
S 0.8451 0.8451 0.9551

Peak list (12 most intense, 10 to 90 degrees two-theta, by intensity)
2θ/deg, d/Å, I_rel
30.43, 2.937, 100.0
26.68, 3.341, 92.2
24.94, 3.570, 47.1
30.54, 2.927, 45.1
26.88, 3.316, 44.3
44.87, 2.020, 32.2
42.41, 2.131, 30.2
52.02, 1.758, 24.2
44.53, 2.035, 20.1
54.96, 1.671, 17.3
52.79, 1.734, 15.9
42.60, 2.122, 14.7

=====

# Ho3TlS2
Theoretical X-ray powder pattern, Cu Kα, 1.54184 Å. Input: DFT lattice parameters and positions (PBE).

Structural model:
Unit cell a=6.6632 b=6.6632 c=9.5029 alpha=90.00 beta=90.00 gamma=137.16
Element x y z (fractional)
Ho 0.1070 0.8930 0.7500
Ho 0.3678 0.6322 0.5507
Ho 0.3678 0.6322 0.9493
Ho 0.6322 0.3678 0.0507
Ho 0.6322 0.3678 0.4493
Ho 0.8930 0.1070 0.2500
Tl 0.2197 0.7803 0.2500
Tl 0.7803 0.2197 0.7500
S 0.0000 0.0000 0.0000
S 0.0000 0.0000 0.5000
S 0.4708 0.5292 0.2500
S 0.5292 0.4708 0.7500

Peak list (12 most intense, 10 to 90 degrees two-theta, by intensity)
2θ/deg, d/Å, I_rel
34.14, 2.626, 100.0
29.87, 2.991, 90.7
27.20, 3.279, 66.9
34.55, 2.596, 57.2
36.94, 2.434, 57.2
31.72, 2.821, 39.5
64.72, 1.440, 31.6
56.55, 1.628, 29.3
37.87, 2.376, 25.7
49.46, 1.843, 22.8
66.25, 1.411, 21.9
30.31, 2.948, 21.3

=====

# Ho4TmS7
Theoretical X-ray powder pattern, Cu Kα, 1.54184 Å. Input: DFT lattice parameters and positions (PBE).

Structural model:
Unit cell a=6.6524 b=6.6524 c=11.5489 alpha=104.01 beta=104.01 gamma=33.05
Element x y z (fractional)
Ho 0.0000 0.0000 0.0000
Ho 0.1884 0.1884 0.7664
Ho 0.5882 0.5882 0.3897
Ho 0.8881 0.8881 0.5773
Tm 0.7764 0.7764 0.1563
S 0.1493 0.1493 0.2249
S 0.2287 0.2287 0.5265
S 0.3872 0.3872 0.0789
S 0.5475 0.5475 0.6292
S 0.6299 0.6299 0.9320
S 0.8472 0.8472 0.7930
S 0.9289 0.9289 0.3615

Peak list (12 most intense, 10 to 90 degrees two-theta, by intensity)
2θ/deg, d/Å, I_rel
24.60, 3.619, 100.0
24.04, 3.703, 81.8
33.41, 2.682, 46.6
27.99, 3.188, 38.4
34.50, 2.600, 35.2
26.45, 3.369, 33.2
31.76, 2.818, 32.6
42.31, 2.136, 27.7
43.79, 2.067, 27.3
39.26, 2.295, 25.0
48.09, 1.892, 24.8
40.36, 2.235, 21.5

=====

# Ho2Tm3S4
Theoretical X-ray powder pattern, Cu Kα, 1.54184 Å. Input: DFT lattice parameters and positions (PBE).

Structural model:
Unit cell a=3.8103 b=3.8103 c=15.7260 alpha=90.00 beta=90.00 gamma=120.00
Element x y z (fractional)
Ho 0.3333 0.6667 0.2060
Ho 0.6667 0.3333 0.7940
Tm 0.0000 0.0000 0.0000
Tm 0.3333 0.6667 0.5882
Tm 0.6667 0.3333 0.4118
S 0.0000 0.0000 0.3080
S 0.0000 0.0000 0.6920
S 0.3333 0.6667 0.8992
S 0.6667 0.3333 0.1008

Peak list (12 most intense, 10 to 90 degrees two-theta, by intensity)
2θ/deg, d/Å, I_rel
32.05, 2.793, 100.0
29.35, 3.043, 47.5
47.74, 1.905, 37.4
78.91, 1.213, 28.1
28.38, 3.145, 25.0
56.47, 1.630, 23.3
58.67, 1.574, 22.7
44.13, 2.052, 21.9
27.62, 3.229, 19.1
54.32, 1.689, 15.0
49.06, 1.857, 13.5
35.52, 2.528, 10.5

=====

# HoTm3S3
Theoretical X-ray powder pattern, Cu Kα, 1.54184 Å. Input: DFT lattice parameters and positions (PBE).

Structural model:
Unit cell a=10.8056 b=10.8056 c=5.3722 alpha=90.00 beta=90.00 gamma=90.00
Element x y z (fractional)
Ho 0.1212 0.1212 0.0000
Ho 0.3788 0.6212 0.5000
Ho 0.6212 0.3788 0.5000
Ho 0.8788 0.8788 0.0000
Tm 0.1210 0.6266 0.0000
Tm 0.1262 0.8738 0.5000
Tm 0.1266 0.3790 0.5000
Tm 0.3734 0.8790 0.0000
Tm 0.3738 0.3738 0.0000
Tm 0.3790 0.1266 0.5000
Tm 0.6210 0.8734 0.5000
Tm 0.6262 0.6262 0.0000
Tm 0.6266 0.1210 0.0000
Tm 0.8734 0.6210 0.5000
Tm 0.8738 0.1262 0.5000
Tm 0.8790 0.3734 0.0000
S 0.1254 0.3746 0.0000
S 0.1254 0.6254 0.5000
S 0.1272 0.8728 0.0000
S 0.3728 0.3728 0.5000
S 0.3746 0.1254 0.0000
S 0.3746 0.8746 0.5000
S 0.6254 0.1254 0.5000
S 0.6254 0.8746 0.0000
S 0.6272 0.6272 0.5000
S 0.8728 0.1272 0.0000
S 0.8746 0.3746 0.5000
S 0.8746 0.6254 0.0000

Peak list (12 most intense, 10 to 90 degrees two-theta, by intensity)
2θ/deg, d/Å, I_rel
28.67, 3.113, 100.0
33.16, 2.701, 63.3
47.75, 1.905, 45.2
33.36, 2.686, 31.3
56.52, 1.628, 31.2
59.37, 1.557, 23.4
47.60, 1.910, 22.7
88.80, 1.102, 15.8
56.78, 1.621, 15.6
77.17, 1.236, 12.6
79.74, 1.203, 10.1
79.41, 1.207, 10.1

=====

# Ho3TmS4
Theoretical X-ray powder pattern, Cu Kα, 1.54184 Å. Input: DFT lattice parameters and positions (PBE).

Structural model:
Unit cell a=6.7284 b=6.7284 c=3.8401 alpha=90.00 beta=90.00 gamma=109.08
Element x y z (fractional)
Ho 0.0000 0.0000 0.0000
Ho 0.0000 0.5000 0.5000
Ho 0.5000 0.0000 0.5000
Tm 0.5000 0.5000 0.0000
S 0.2514 0.7486 0.0000
S 0.2528 0.2528 0.5000
S 0.7472 0.7472 0.5000
S 0.7486 0.2514 0.0000

Peak list (12 most intense, 10 to 90 degrees two-theta, by intensity)
2θ/deg, d/Å, I_rel
32.70, 2.738, 100.0
46.92, 1.937, 48.0
28.07, 3.179, 42.7
28.38, 3.145, 41.5
78.01, 1.225, 21.4
55.40, 1.658, 13.8
55.94, 1.644, 13.4
58.02, 1.590, 12.7
46.53, 1.952, 12.3
58.72, 1.572, 12.2
47.34, 1.920, 11.7
68.53, 1.369, 11.5

=====

# HoTm4S7
Theoretical X-ray powder pattern, Cu Kα, 1.54184 Å. Input: DFT lattice parameters and positions (PBE).

Structural model:
Unit cell a=6.6172 b=6.6172 c=11.4989 alpha=103.84 beta=103.84 gamma=33.00
Element x y z (fractional)
Ho 0.0000 0.0000 0.0000
Tm 0.1122 0.1122 0.4217
Tm 0.2238 0.2238 0.8419
Tm 0.4118 0.4118 0.6079
Tm 0.8123 0.8123 0.2346
S 0.0702 0.0702 0.6360
S 0.1542 0.1542 0.2076
S 0.3689 0.3689 0.0688
S 0.4534 0.4534 0.3703
S 0.6125 0.6125 0.9197
S 0.7711 0.7711 0.4723
S 0.8521 0.8521 0.7727

Peak list (12 most intense, 10 to 90 degrees two-theta, by intensity)
2θ/deg, d/Å, I_rel
24.75, 3.598, 100.0
24.10, 3.693, 84.0
33.63, 2.665, 45.8
28.14, 3.171, 39.2
34.67, 2.587, 36.4
26.61, 3.350, 33.0
31.96, 2.800, 32.4
42.50, 2.127, 28.0
44.00, 2.058, 27.0
39.47, 2.283, 25.2
48.44, 1.879, 24.7
40.51, 2.227, 21.7

=====

# Y3Ho3TmS8
Theoretical X-ray powder pattern, Cu Kα, 1.54184 Å. Input: DFT lattice parameters and positions (PBE).

Structural model:
Unit cell a=7.7855 b=7.7855 c=7.7855 alpha=59.93 beta=59.93 gamma=59.93
Element x y z (fractional)
Y 0.0000 0.5000 0.5000
Y 0.5000 0.0000 0.5000
Y 0.5000 0.5000 0.0000
Ho 0.0000 0.0000 0.5000
Ho 0.0000 0.5000 0.0000
Ho 0.5000 0.0000 0.0000
Tm 0.5000 0.5000 0.5000
S 0.2490 0.2490 0.2490
S 0.2497 0.7483 0.7483
S 0.2517 0.2517 0.7503
S 0.2517 0.7503 0.2517
S 0.7483 0.2497 0.7483
S 0.7483 0.7483 0.2497
S 0.7503 0.2517 0.2517
S 0.7510 0.7510 0.7510

Peak list (12 most intense, 10 to 90 degrees two-theta, by intensity)
2θ/deg, d/Å, I_rel
32.55, 2.751, 100.0
46.69, 1.945, 70.8
28.09, 3.177, 58.6
77.60, 1.230, 31.1
13.93, 6.359, 30.9
55.38, 1.659, 28.7
58.07, 1.588, 24.3
26.88, 3.317, 19.5
86.73, 1.123, 18.1
68.18, 1.376, 11.2
35.56, 2.525, 9.2
48.99, 1.859, 8.2

=====

# Y2HoTmS6
Theoretical X-ray powder pattern, Cu Kα, 1.54184 Å. Input: DFT lattice parameters and positions (PBE).

Structural model:
Unit cell a=7.3248 b=7.3248 c=7.3248 alpha=56.03 beta=56.03 gamma=56.03
Element x y z (fractional)
Y 0.0000 0.0000 0.0000
Y 0.4994 0.4994 0.4994
Ho 0.2005 0.2005 0.2005
Tm 0.6997 0.6997 0.6997
S 0.0939 0.4069 0.8022
S 0.3036 0.9036 0.5970
S 0.4069 0.8022 0.0939
S 0.5970 0.3036 0.9036
S 0.8022 0.0939 0.4069
S 0.9036 0.5970 0.3036

Peak list (12 most intense, 10 to 90 degrees two-theta, by intensity)
2θ/deg, d/Å, I_rel
24.39, 3.649, 100.0
39.28, 2.293, 94.3
25.90, 3.440, 92.4
17.72, 5.006, 72.0
45.68, 1.986, 53.4
35.88, 2.503, 49.8
44.78, 2.024, 48.3
51.85, 1.763, 26.7
61.79, 1.501, 23.6
29.75, 3.003, 21.9
80.13, 1.198, 20.9
65.36, 1.428, 19.4

=====

# HoU3S6
Theoretical X-ray powder pattern, Cu Kα, 1.54184 Å. Input: DFT lattice parameters and positions (PBE).

Structural model:
Unit cell a=10.9128 b=3.8572 c=11.3424 alpha=90.00 beta=107.88 gamma=90.00
Element x y z (fractional)
Ho 0.0443 0.2500 0.1901
Ho 0.9557 0.7500 0.8099
U 0.1561 0.2500 0.5771
U 0.3180 0.7500 0.9994
U 0.4265 0.2500 0.3324
U 0.5735 0.7500 0.6676
U 0.6820 0.2500 0.0006
U 0.8439 0.7500 0.4229
S 0.0820 0.7500 0.3954
S 0.1150 0.2500 0.9635
S 0.1919 0.7500 0.7501
S 0.2507 0.7500 0.2197
S 0.3982 0.2500 0.5631
S 0.4894 0.2500 0.1211
S 0.5106 0.7500 0.8789
S 0.6018 0.7500 0.4369
S 0.7493 0.2500 0.7803
S 0.8081 0.2500 0.2499
S 0.8850 0.7500 0.0365
S 0.9180 0.2500 0.6046

Peak list (12 most intense, 10 to 90 degrees two-theta, by intensity)
2θ/deg, d/Å, I_rel
24.48, 3.636, 100.0
26.83, 3.323, 71.2
23.55, 3.778, 70.4
43.10, 2.099, 53.0
27.24, 3.274, 49.2
28.20, 3.164, 46.6
31.48, 2.842, 44.5
34.82, 2.576, 41.9
16.50, 5.372, 36.0
47.12, 1.929, 32.6
30.54, 2.927, 27.1
43.96, 2.060, 26.9

=====

# HoUS
Theoretical X-ray powder pattern, Cu Kα, 1.54184 Å. Input: DFT lattice parameters and positions (PBE).

Structural model:
Unit cell a=14.4287 b=14.4287 c=14.4287 alpha=15.23 beta=15.23 gamma=15.23
Element x y z (fractional)
Ho 0.0904 0.0904 0.0904
Ho 0.9096 0.9096 0.9096
U 0.3484 0.3484 0.3484
U 0.6516 0.6516 0.6516
S 0.2121 0.2121 0.2121
S 0.7879 0.7879 0.7879

Peak list (12 most intense, 10 to 90 degrees two-theta, by intensity)
2θ/deg, d/Å, I_rel
30.70, 2.912, 100.0
28.21, 3.164, 68.7
18.67, 4.753, 52.7
43.50, 2.080, 45.6
47.55, 1.912, 43.1
35.61, 2.521, 36.2
56.77, 1.622, 22.3
51.52, 1.774, 22.1
24.98, 3.565, 18.4
28.91, 3.089, 17.1
57.67, 1.598, 17.0
50.82, 1.797, 16.1

=====

# Ho4US5
Theoretical X-ray powder pattern, Cu Kα, 1.54184 Å. Input: DFT lattice parameters and positions (PBE).

Structural model:
Unit cell a=13.9847 b=13.9847 c=13.9847 alpha=164.06 beta=164.06 gamma=22.61
Element x y z (fractional)
Ho 0.0993 0.0993 0.0000
Ho 0.3020 0.3020 0.0000
Ho 0.6980 0.6980 0.0000
Ho 0.9007 0.9007 0.0000
U 0.5000 0.5000 0.0000
S 0.0000 0.0000 0.0000
S 0.2007 0.2007 0.0000
S 0.3999 0.3999 0.0000
S 0.6001 0.6001 0.0000
S 0.7993 0.7993 0.0000

Peak list (12 most intense, 10 to 90 degrees two-theta, by intensity)
2θ/deg, d/Å, I_rel
32.66, 2.742, 100.0
28.18, 3.166, 88.8
46.85, 1.939, 72.2
55.58, 1.654, 43.2
77.90, 1.226, 32.7
87.04, 1.120, 25.4
58.28, 1.583, 25.0
75.57, 1.258, 17.7
68.42, 1.371, 11.6
23.17, 3.840, 1.2
32.49, 2.756, 1.1
12.91, 6.857, 0.7

=====

# HoU2S6
Theoretical X-ray powder pattern, Cu Kα, 1.54184 Å. Input: DFT lattice parameters and positions (PBE).

Structural model:
Unit cell a=7.1927 b=7.1927 c=4.1392 alpha=90.00 beta=90.00 gamma=120.00
Element x y z (fractional)
Ho 0.0000 0.0000 0.0000
U 0.3333 0.6667 0.7715
U 0.6667 0.3333 0.2285
S 0.0811 0.6981 0.2580
S 0.3019 0.3830 0.2580
S 0.3830 0.0811 0.7420
S 0.6170 0.9189 0.2580
S 0.6981 0.6170 0.7420
S 0.9189 0.3019 0.7420

Peak list (12 most intense, 10 to 90 degrees two-theta, by intensity)
2θ/deg, d/Å, I_rel
24.76, 3.596, 100.0
25.84, 3.447, 82.8
36.09, 2.489, 64.9
44.26, 2.046, 59.4
43.59, 2.076, 40.6
32.99, 2.715, 24.7
46.22, 1.964, 22.8
69.60, 1.351, 20.2
59.47, 1.554, 18.4
57.83, 1.594, 17.7
50.77, 1.798, 17.2
69.10, 1.359, 16.9